Entry 1:
Starting from a PBE-relaxed structure, the powder diffraction line list of Mg14GaFe was computed for Cu Kα (λ = 1.5418 Å).
Intensities are scaled so that the largest is 100.

Top 10 peaks for 2θ = 10–80°, low angle first:
d = 5.390 Å, 16.45 deg, rel. 17, (1 0 0)
d = 3.679 Å, 24.19 deg, rel. 10, (1 0 2)
d = 2.695 Å, 33.24 deg, rel. 26, (2 0 0)
d = 2.517 Å, 35.67 deg, rel. 26, (0 0 4)
d = 2.376 Å, 37.87 deg, rel. 100, (2 0 2)
d = 1.839 Å, 49.56 deg, rel. 16, (2 0 4)
d = 1.556 Å, 59.40 deg, rel. 17, (2 2 0)
d = 1.424 Å, 65.53 deg, rel. 18, (2 0 6)
d = 1.324 Å, 71.25 deg, rel. 18, (2 2 4)
d = 1.302 Å, 72.63 deg, rel. 13, (4 0 2)

Structural model:
```
data_Mg14GaFe
_chemical_formula_sum 'Mg14 Ga1 Fe1'
_space_group_name_H-M_alt 'P -6 m 2'
_space_group_IT_number 187
_space_group_name_Hall 'P -6 2'
_cell_length_a 6.2241
_cell_length_b 6.2241
_cell_length_c 10.0675
_cell_angle_alpha 90.00
_cell_angle_beta 90.00
_cell_angle_gamma 120.00
loop_
_atom_site_label
_atom_site_fract_x
_atom_site_fract_y
_atom_site_fract_z
Mg1 0.0000 0.0000 0.2504
Mg2 0.0106 0.5053 0.2427
Mg3 0.3318 0.1659 0.0000
Mg4 0.3341 0.1671 0.5000
Ga1 0.3333 0.6667 0.5000
Fe1 0.3333 0.6667 0.0000
```

---

Entry 2:
Starting from a PBE-relaxed structure, the powder diffraction line list of MnGaFe4 was computed for Cu Kα (λ = 1.5418 Å).
Intensities are scaled so that the largest is 100.

Top 10 peaks for 2θ = 10–80°, low angle first:
d = 2.689 Å, 33.32 deg, rel. 1, (1 -2 0)
d = 2.182 Å, 41.39 deg, rel. 1, (2 0 -2)
d = 2.045 Å, 44.29 deg, rel. 52, (1 0 -3)
d = 2.038 Å, 44.45 deg, rel. 52, (2 0 0)
d = 2.029 Å, 44.67 deg, rel. 51, (-2 2 1)
d = 2.026 Å, 44.74 deg, rel. 51, (1 2 -2)
d = 2.013 Å, 45.04 deg, rel. 100, (0 2 1)
d = 1.454 Å, 64.02 deg, rel. 16, (3 0 -3)
d = 1.433 Å, 65.08 deg, rel. 15, (1 0 3)
d = 1.413 Å, 66.11 deg, rel. 14, (1 -4 1)

Structural model:
```
data_MnGaFe4
_chemical_formula_sum 'Mn2 Ga2 Fe8'
_space_group_name_H-M_alt 'P -1'
_space_group_IT_number 2
_cell_length_a 4.802
_cell_length_b 5.653
_cell_length_c 6.296
_cell_angle_alpha 102.91
_cell_angle_beta 111.18
_cell_angle_gamma 107.20
loop_
_space_group_symop_operation_xyz
'x,y,z'
'-x,-y,-z'
loop_
_atom_site_label
_atom_site_fract_x
_atom_site_fract_y
_atom_site_fract_z
Mn1 0.235 0.214 0.082
Ga1 0.241 0.872 0.741
Fe1 0.243 0.372 0.742
Fe2 0.247 0.700 0.080
Fe3 0.259 0.544 0.412
Fe4 0.262 0.042 0.408
```

---

Entry 3:
Starting from a PBE-relaxed structure, the powder diffraction line list of Mn2GaFe2 was computed for Cu Kα (λ = 1.5418 Å).
Intensities are scaled so that the largest is 100.

Top 10 peaks for 2θ = 10–80°, low angle first:
d = 3.019 Å, 29.59 deg, rel. 1, (2 0 2)
d = 2.460 Å, 36.52 deg, rel. 1, (4 0 -2)
d = 2.075 Å, 43.62 deg, rel. 100, (2 0 -4)
d = 1.819 Å, 50.15 deg, rel. 33, (1 1 3)
d = 1.755 Å, 52.11 deg, rel. 13, (6 0 -2)
d = 1.568 Å, 58.88 deg, rel. 1, (5 1 1)
d = 1.332 Å, 70.73 deg, rel. 1, (8 0 0)
d = 1.287 Å, 73.59 deg, rel. 5, (0 2 0)
d = 1.285 Å, 73.70 deg, rel. 5, (2 0 6)
d = 1.263 Å, 75.23 deg, rel. 16, (5 1 -5)

Structural model:
```
data_Mn2GaFe2
_chemical_formula_sum 'Mn8 Ga4 Fe8'
_space_group_name_H-M_alt 'C 1 m 1'
_space_group_IT_number 8
_cell_length_a 10.844
_cell_length_b 2.574
_cell_length_c 8.469
_cell_angle_alpha 90.00
_cell_angle_beta 100.70
_cell_angle_gamma 90.00
loop_
_space_group_symop_operation_xyz
'x,y,z'
'x,-y,z'
'x+1/2,y+1/2,z'
'x+1/2,-y+1/2,z'
loop_
_atom_site_label
_atom_site_fract_x
_atom_site_fract_y
_atom_site_fract_z
Mn1 0.000 0.000 0.000
Mn2 0.073 0.500 0.789
Mn3 0.174 0.000 0.599
Mn4 0.397 0.000 0.190
Ga1 0.285 0.000 0.895
Ga2 0.287 0.500 0.396
Fe1 0.080 0.000 0.295
Fe2 0.184 0.500 0.099
Fe3 0.387 0.500 0.692
Fe4 0.495 0.000 0.494
```

---

Entry 4:
Starting from a PBE-relaxed structure, the powder diffraction line list of Mn4Ga3Fe4 was computed for Cu Kα (λ = 1.5418 Å).
Intensities are scaled so that the largest is 100.

Top 10 peaks for 2θ = 10–80°, low angle first:
d = 2.365 Å, 38.04 deg, rel. 36, (0 1 4)
d = 2.218 Å, 40.68 deg, rel. 21, (1 0 3)
d = 2.141 Å, 42.22 deg, rel. 80, (1 1 -1)
d = 2.062 Å, 43.91 deg, rel. 100, (0 1 -6)
d = 2.029 Å, 44.65 deg, rel. 36, (1 0 4)
d = 1.992 Å, 45.55 deg, rel. 56, (1 1 2)
d = 1.971 Å, 46.05 deg, rel. 72, (0 2 -1)
d = 1.870 Å, 48.70 deg, rel. 48, (1 1 -4)
d = 1.414 Å, 66.09 deg, rel. 21, (1 2 3)
d = 1.281 Å, 74.01 deg, rel. 22, (2 0 0)

Structural model:
```
data_Mn4Ga3Fe4
_chemical_formula_sum 'Mn4 Ga3 Fe4'
_space_group_name_H-M_alt 'P -1'
_space_group_IT_number 2
_cell_length_a 2.561
_cell_length_b 3.942
_cell_length_c 13.451
_cell_angle_alpha 98.42
_cell_angle_beta 90.11
_cell_angle_gamma 90.00
loop_
_space_group_symop_operation_xyz
'x,y,z'
'-x,-y,-z'
loop_
_atom_site_label
_atom_site_fract_x
_atom_site_fract_y
_atom_site_fract_z
Mn1 0.001 0.051 0.101
Mn2 0.499 0.225 0.450
Ga1 0.499 0.393 0.787
Ga2 0.500 0.500 0.000
Fe1 0.001 0.144 0.287
Fe2 0.002 0.304 0.608
```